Zr3GaSe3: calculated powder diffractogram (Cu Kα (weighted mean of Kα1 and Kα2)), based on DFT lattice parameters and positions (PBE).
Kinematic intensities with the Lorentz-polarization factor, no thermal factor.

```
data_Zr3GaSe3
_chemical_formula_sum 'Zr36 Ga12 Se36'
_space_group_name_H-M_alt 'R 3 2'
_space_group_IT_number 155
_space_group_name_Hall 'R 3 2"'
_cell_length_a 15.3789
_cell_length_b 15.3789
_cell_length_c 9.4059
_cell_angle_alpha 90.00
_cell_angle_beta 90.00
_cell_angle_gamma 120.00
loop_
_atom_site_label
_atom_site_fract_x
_atom_site_fract_y
_atom_site_fract_z
Zr1 0.0000 0.2509 0.0000
Zr2 0.0000 0.4991 0.0000
Zr3 0.0827 0.1664 0.6655
Ga1 0.0000 0.0000 0.5000
Ga2 0.0000 0.2500 0.5000
Se1 0.0000 0.5041 0.5000
Se2 0.0000 0.7459 0.5000
Se3 0.0806 0.9153 0.1611
```

Most intense lines, 10 to 90 degrees two-theta, in order of rising 2θ:
11.51°, rel. 12, hkl 1 1 0; 20.01°, rel. 8, hkl 3 0 0; 30.78°, rel. 8, hkl 3 1 2; 32.96°, rel. 100, hkl 0 4 2; 47.31°, rel. 71, hkl 4 4 0; 58.86°, rel. 24, hkl 8 0 2; 69.13°, rel. 11, hkl 0 8 4; 78.74°, rel. 30, hkl 4 8 2; 88.01°, rel. 17, hkl 12 0 0; 88.11°, rel. 6, hkl 0 4 8